Starting from DFT lattice parameters and positions (GGA-PBE), the powder diffractogram of Co7Ni5 was calculated for Cu Kα.
Kinematic intensities with the Lorentz-polarization factor, no thermal factor.

Structural model:
Unit cell a=4.607 b=4.607 c=14.778 alpha=90.00 beta=90.00 gamma=120.00
Atoms (fractional coordinates):
1 Co 0.160 0.320 0.250
2 Co 0.160 0.840 0.250
3 Co 0.320 0.160 0.750
4 Co 0.333 0.667 0.128
5 Co 0.333 0.667 0.372
6 Co 0.333 0.667 0.659
7 Co 0.333 0.667 0.841
8 Co 0.667 0.333 0.159
9 Co 0.667 0.333 0.341
10 Co 0.667 0.333 0.628
11 Co 0.667 0.333 0.872
12 Co 0.680 0.840 0.250
13 Co 0.840 0.160 0.750
14 Co 0.840 0.680 0.750
15 Ni 0.000 0.000 0.092
16 Ni 0.000 0.000 0.408
17 Ni 0.000 0.000 0.592
18 Ni 0.000 0.000 0.908
19 Ni 0.000 0.500 0.000
20 Ni 0.000 0.500 0.500
21 Ni 0.500 0.000 0.000
22 Ni 0.500 0.000 0.500
23 Ni 0.500 0.500 0.000
24 Ni 0.500 0.500 0.500

Most intense lines, 2θ from 10° to 90°, low angle first:
2theta  I (rel.)
39.10  304
43.16  619
46.45  1000
47.19  733
49.30  396
84.03  251

---

Starting from DFT lattice parameters and positions (GGA-PBE), the powder diffractogram of CoNi was calculated for Cu Kα.
Kinematic intensities with the Lorentz-polarization factor, no thermal factor.

Structural model:
Unit cell a=4.572 b=4.572 c=14.964 alpha=90.00 beta=90.00 gamma=120.00
Atoms (fractional coordinates):
1 Co 0.000 0.000 0.090
2 Co 0.000 0.000 0.410
3 Co 0.000 0.000 0.590
4 Co 0.000 0.000 0.910
5 Co 0.333 0.667 0.127
6 Co 0.333 0.667 0.373
7 Co 0.333 0.667 0.652
8 Co 0.333 0.667 0.848
9 Co 0.667 0.333 0.152
10 Co 0.667 0.333 0.348
11 Co 0.667 0.333 0.627
12 Co 0.667 0.333 0.873
13 Ni 0.000 0.500 0.000
14 Ni 0.000 0.500 0.500
15 Ni 0.163 0.325 0.250
16 Ni 0.163 0.837 0.250
17 Ni 0.325 0.163 0.750
18 Ni 0.500 0.000 0.000
19 Ni 0.500 0.000 0.500
20 Ni 0.500 0.500 0.000
21 Ni 0.500 0.500 0.500
22 Ni 0.675 0.837 0.250
23 Ni 0.837 0.163 0.750
24 Ni 0.837 0.675 0.750

Most intense lines, 2θ from 10° to 90°, low angle first:
2theta  I (rel.)
39.41  264
42.85  557
46.56  1000
47.50  695
48.68  210
84.82  241

---

Starting from DFT lattice parameters and positions (GGA-PBE), the powder diffractogram of CoNiP was calculated for Cu Kα.
Kinematic intensities with the Lorentz-polarization factor, no thermal factor.

Structural model:
Unit cell a=3.615 b=3.615 c=6.075 alpha=90.00 beta=90.00 gamma=120.00
Atoms (fractional coordinates):
1 Co 0.000 0.000 0.000
2 Co 0.000 0.000 0.500
3 Ni 0.333 0.667 0.244
4 Ni 0.667 0.333 0.744
5 P 0.333 0.667 0.611
6 P 0.667 0.333 0.111

Most intense lines, 2θ from 10° to 90°, low angle first:
2theta  I (rel.)
32.16  442
41.42  1000
50.49  764
53.92  313
67.28  211
88.72  192

---

Starting from DFT lattice parameters and positions (GGA-PBE), the powder diffractogram of Tb2CoNiP4 was calculated for Cu Kα.
Kinematic intensities with the Lorentz-polarization factor, no thermal factor.

Structural model:
Unit cell a=3.599 b=3.599 c=12.027 alpha=90.00 beta=90.00 gamma=120.00
Atoms (fractional coordinates):
1 Tb 0.000 0.000 0.249
2 Tb 0.000 0.000 0.751
3 Co 0.000 0.000 0.000
4 Ni 0.000 0.000 0.500
5 P 0.333 0.667 0.082
6 P 0.333 0.667 0.412
7 P 0.667 0.333 0.588
8 P 0.667 0.333 0.918

Most intense lines, 2θ from 10° to 90°, low angle first:
2theta  I (rel.)
28.64  889
29.71  263
32.35  418
41.74  1000
50.73  391
67.71  231

---

Starting from DFT lattice parameters and positions (GGA-PBE), the powder diffractogram of CoNiTe2P4 was calculated for Cu Kα.
Kinematic intensities with the Lorentz-polarization factor, no thermal factor.

Structural model:
Unit cell a=3.692 b=3.692 c=11.752 alpha=90.00 beta=90.00 gamma=120.00
Atoms (fractional coordinates):
1 Co 0.000 0.000 0.000
2 Ni 0.000 0.000 0.500
3 Te 0.000 0.000 0.243
4 Te 0.000 0.000 0.757
5 P 0.333 0.667 0.070
6 P 0.333 0.667 0.424
7 P 0.667 0.333 0.576
8 P 0.667 0.333 0.930

Most intense lines, 2θ from 10° to 90°, low angle first:
2theta  I (rel.)
27.90  982
30.43  308
31.86  345
41.75  1000
49.37  494
59.10  269

---

Starting from DFT lattice parameters and positions (GGA-PBE), the powder diffractogram of Zr4CoNiP2 was calculated for Cu Kα.
Kinematic intensities with the Lorentz-polarization factor, no thermal factor.

Structural model:
Unit cell a=5.261 b=3.651 c=7.448 alpha=90.00 beta=110.29 gamma=90.00
Atoms (fractional coordinates):
1 Zr 0.000 0.000 0.000
2 Zr 0.061 0.500 0.638
3 Zr 0.486 0.000 0.482
4 Zr 0.555 0.500 0.134
5 Co 0.128 0.500 0.270
6 Ni 0.424 0.000 0.852
7 P 0.633 0.500 0.773
8 P 0.917 0.000 0.352

Most intense lines, 2θ from 10° to 90°, low angle first:
2theta  I (rel.)
30.50  254
35.55  1000
36.46  475
36.59  225
44.30  220
44.43  446

---

Starting from DFT lattice parameters and positions (GGA-PBE), the powder diffractogram of Co2Ni4PdSe12 was calculated for Cu Kα.
Kinematic intensities with the Lorentz-polarization factor, no thermal factor.

Structural model:
Unit cell a=6.154 b=6.154 c=17.633 alpha=92.60 beta=92.60 gamma=33.24
Atoms (fractional coordinates):
1 Co 0.048 0.048 0.267
2 Co 0.952 0.952 0.733
3 Ni 0.319 0.319 0.578
4 Ni 0.456 0.456 0.119
5 Ni 0.544 0.544 0.881
6 Ni 0.681 0.681 0.422
7 Pd 0.000 0.000 0.000
8 Se 0.045 0.045 0.400
9 Se 0.097 0.097 0.133
10 Se 0.168 0.168 0.922
11 Se 0.316 0.316 0.713
12 Se 0.319 0.319 0.442
13 Se 0.419 0.419 0.248
14 Se 0.581 0.581 0.752
15 Se 0.681 0.681 0.558
16 Se 0.684 0.684 0.287
17 Se 0.832 0.832 0.078
18 Se 0.903 0.903 0.867
19 Se 0.955 0.955 0.600

Most intense lines, 2θ from 10° to 90°, low angle first:
2theta  I (rel.)
15.64  348
30.44  305
34.76  1000
43.18  349
51.11  389
51.95  275

---

Starting from DFT lattice parameters and positions (GGA-PBE), the powder diffractogram of PmCoNi was calculated for Cu Kα.
Kinematic intensities with the Lorentz-polarization factor, no thermal factor.

Structural model:
Unit cell a=6.121 b=6.121 c=6.121 alpha=90.00 beta=90.00 gamma=90.00
Atoms (fractional coordinates):
1 Pm 0.000 0.000 0.000
2 Pm 0.000 0.500 0.500
3 Pm 0.500 0.000 0.500
4 Pm 0.500 0.500 0.000
5 Co 0.000 0.000 0.500
6 Co 0.000 0.500 0.000
7 Co 0.500 0.000 0.000
8 Co 0.500 0.500 0.500
9 Ni 0.250 0.250 0.750
10 Ni 0.250 0.750 0.250
11 Ni 0.750 0.250 0.250
12 Ni 0.750 0.750 0.750

Most intense lines, 2θ from 10° to 90°, low angle first:
2theta  I (rel.)
25.20  388
29.18  365
41.74  1000
49.38  190
60.50  161
76.19  318

---

Starting from DFT lattice parameters and positions (GGA-PBE), the powder diffractogram of Rb2Co2NiS4 was calculated for Cu Kα.
Kinematic intensities with the Lorentz-polarization factor, no thermal factor.

Structural model:
Unit cell a=8.621 b=7.597 c=5.761 alpha=79.08 beta=59.91 gamma=41.01
Atoms (fractional coordinates):
1 Rb 0.159 0.159 0.841
2 Rb 0.841 0.841 0.159
3 Co 0.000 0.000 0.500
4 Co 0.500 0.500 0.000
5 Ni 0.500 0.500 0.500
6 S 0.230 0.563 0.437
7 S 0.437 0.770 0.230
8 S 0.563 0.230 0.770
9 S 0.770 0.437 0.563

Most intense lines, 2θ from 10° to 90°, low angle first:
2theta  I (rel.)
12.59  784
21.84  394
26.09  1000
36.01  631
36.62  762
53.67  691

---

Starting from DFT lattice parameters and positions (GGA-PBE), the powder diffractogram of Rb2CoNi2S4 was calculated for Cu Kα.
Kinematic intensities with the Lorentz-polarization factor, no thermal factor.

Structural model:
Unit cell a=8.596 b=7.622 c=5.758 alpha=78.59 beta=60.37 gamma=41.05
Atoms (fractional coordinates):
1 Rb 0.158 0.158 0.842
2 Rb 0.842 0.842 0.158
3 Co 0.500 0.500 0.500
4 Ni 0.000 0.000 0.500
5 Ni 0.500 0.500 0.000
6 S 0.229 0.564 0.436
7 S 0.436 0.771 0.229
8 S 0.564 0.229 0.771
9 S 0.771 0.436 0.564

Most intense lines, 2θ from 10° to 90°, low angle first:
2theta  I (rel.)
12.59  841
21.97  431
25.91  1000
35.46  446
36.64  740
53.27  483

---

Starting from DFT lattice parameters and positions (GGA-PBE), the powder diffractogram of Co8NiS8 was calculated for Cu Kα.
Kinematic intensities with the Lorentz-polarization factor, no thermal factor.

Structural model:
Unit cell a=6.971 b=6.971 c=6.971 alpha=60.00 beta=60.00 gamma=60.00
Atoms (fractional coordinates):
1 Co 0.127 0.127 0.127
2 Co 0.127 0.127 0.620
3 Co 0.127 0.620 0.127
4 Co 0.380 0.873 0.873
5 Co 0.620 0.127 0.127
6 Co 0.873 0.380 0.873
7 Co 0.873 0.873 0.380
8 Co 0.873 0.873 0.873
9 Ni 0.500 0.500 0.500
10 S 0.250 0.250 0.250
11 S 0.257 0.257 0.743
12 S 0.257 0.743 0.257
13 S 0.257 0.743 0.743
14 S 0.743 0.257 0.257
15 S 0.743 0.257 0.743
16 S 0.743 0.743 0.257
17 S 0.750 0.750 0.750

Most intense lines, 2θ from 10° to 90°, low angle first:
2theta  I (rel.)
15.57  239
30.07  904
31.44  188
47.95  322
52.51  1000
73.84  168

---

Starting from DFT lattice parameters and positions (GGA-PBE), the powder diffractogram of Co2NiS4 was calculated for Cu Kα.
Kinematic intensities with the Lorentz-polarization factor, no thermal factor.

Structural model:
Unit cell a=6.582 b=6.582 c=9.309 alpha=90.00 beta=90.00 gamma=90.00
Atoms (fractional coordinates):
1 Co 0.000 0.250 0.000
2 Co 0.000 0.750 0.500
3 Co 0.250 0.000 0.750
4 Co 0.250 0.250 0.375
5 Co 0.250 0.750 0.125
6 Co 0.750 0.000 0.250
7 Co 0.750 0.250 0.625
8 Co 0.750 0.750 0.875
9 Ni 0.250 0.500 0.750
10 Ni 0.500 0.250 0.000
11 Ni 0.500 0.750 0.500
12 Ni 0.750 0.500 0.250
13 S 0.013 0.246 0.758
14 S 0.013 0.754 0.742
15 S 0.246 0.013 0.992
16 S 0.246 0.487 0.995
17 S 0.246 0.513 0.505
18 S 0.246 0.987 0.508
19 S 0.487 0.246 0.755
20 S 0.487 0.754 0.745
21 S 0.513 0.246 0.245
22 S 0.513 0.754 0.255
23 S 0.754 0.013 0.008
24 S 0.754 0.487 0.005
25 S 0.754 0.513 0.495
26 S 0.754 0.987 0.492
27 S 0.987 0.246 0.242
28 S 0.987 0.754 0.258

Most intense lines, 2θ from 10° to 90°, low angle first:
2theta  I (rel.)
27.09  279
31.88  1000
38.69  491
50.98  410
55.87  820
79.01  166

---

Starting from DFT lattice parameters and positions (GGA-PBE), the powder diffractogram of CoNi3Se2S2 was calculated for Cu Kα.
Kinematic intensities with the Lorentz-polarization factor, no thermal factor.

Structural model:
Unit cell a=7.297 b=7.446 c=5.223 alpha=90.00 beta=90.00 gamma=90.00
Atoms (fractional coordinates):
1 Co 0.000 0.000 0.000
2 Co 0.500 0.500 0.000
3 Ni 0.000 0.000 0.493
4 Ni 0.250 0.250 0.016
5 Ni 0.250 0.750 0.016
6 Ni 0.500 0.500 0.493
7 Ni 0.750 0.250 0.016
8 Ni 0.750 0.750 0.016
9 Se 0.236 0.500 0.744
10 Se 0.264 0.000 0.744
11 Se 0.736 0.000 0.744
12 Se 0.764 0.500 0.744
13 S 0.000 0.239 0.246
14 S 0.000 0.761 0.246
15 S 0.500 0.261 0.246
16 S 0.500 0.739 0.246

Most intense lines, 2θ from 10° to 90°, low angle first:
2theta  I (rel.)
17.00  925
29.46  739
29.87  584
38.59  444
48.93  262
49.41  1000